Structure and theoretical X-ray diffraction stick pattern of KSmB12 (DFT lattice parameters and positions (GGA-PBE); CuKα).
Neutral-atom scattering factors, no anomalous dispersion.

The 6 most intense peaks (2θ from 10° to 90°), sorted by position:
- 18.43°, I 61
- 21.31°, I 44
- 30.31°, I 100
- 35.71°, I 37
- 37.35°, I 43
- 48.84°, I 46

Crystal structure
a = 8.340 Å, b = 8.340 Å, c = 8.340 Å
α = 90.00°, β = 90.00°, γ = 90.00°
Space group Fm-3m (No. 225)
Inequivalent atoms, fractional coordinates:
K1 0.000 0.000 0.000
Sm1 0.000 0.000 0.500
B1 0.101 0.250 0.250

***

Structure and theoretical X-ray diffraction stick pattern of LaY3Tl (DFT lattice parameters and positions (GGA-PBE); CuKα).
Neutral-atom scattering factors, no anomalous dispersion.

The 6 most intense peaks (2θ from 10° to 90°), sorted by position:
- 32.21°, I 75
- 32.62°, I 100
- 33.08°, I 43
- 33.21°, I 50
- 33.70°, I 46
- 33.81°, I 42

Crystal structure
a = 6.242 Å, b = 6.613 Å, c = 8.838 Å
α = 107.15°, β = 90.34°, γ = 116.91°
Space group P-1 (No. 2)
Inequivalent atoms, fractional coordinates:
La1 0.143 0.063 0.343
Y1 0.085 0.316 0.055
Y2 0.279 0.675 0.453
Y3 0.438 0.088 0.846
Tl1 0.341 0.515 0.761

***

Structure and theoretical X-ray diffraction stick pattern of Pm3Er2Tm3 (DFT lattice parameters and positions (GGA-PBE); CuKα).
Neutral-atom scattering factors, no anomalous dispersion.

The 6 most intense peaks (2θ from 10° to 90°), sorted by position:
- 29.88°, I 42
- 31.55°, I 59
- 31.83°, I 100
- 32.41°, I 98
- 34.28°, I 23
- 44.00°, I 29

Crystal structure
a = 16.147 Å, b = 5.671 Å, c = 5.983 Å
α = 90.00°, β = 110.27°, γ = 90.00°
Space group C2/m (No. 12)
Inequivalent atoms, fractional coordinates:
Pm1 0.000 0.000 0.000
Pm2 0.135 0.000 0.700
Er1 0.250 0.000 0.318
Tm1 0.000 0.500 0.500
Tm2 0.133 0.500 0.081